Calculated X-ray diffraction stick pattern
Compound: La3BiRu
Radiation: a wavelength of 1.5418 Å
Structure: a DFT-relaxed cell (PBE, Alexandria)
No peak broadening, texture or thermal motion is included.

The 10 most intense peaks (2θ from 10° to 90°), in order of rising 2θ:
index	Position (°2θ)	intensity
1 1 0	23.27	11
0 0 2	29.42	18
2 0 1	30.76	100
2 0 2	40.31	29
2 2 0	47.58	26
2 0 3	53.03	22
2 2 2	56.93	15
4 0 1	57.73	16
4 2 1	77.97	12
2 2 4	80.87	11

```
data_La3BiRu
_cell_length_a 7.6448
_cell_length_b 7.6448
_cell_length_c 6.0717
_cell_angle_alpha 90.00
_cell_angle_beta 90.00
_cell_angle_gamma 120.00
_space_group_name_H-M_alt 'P 63/m'
_space_group_IT_number 176
_space_group_name_Hall '-P 6c'
loop_
_atom_site_label
_atom_site_type_symbol
_atom_site_fract_x
_atom_site_fract_y
_atom_site_fract_z
_atom_site_occupancy
La1 La 0.1768 0.8221 0.2500 1
Bi1 Bi 0.3333 0.6667 0.7500 1
Ru1 Ru 0.0000 0.0000 0.0000 1
```

Calculated X-ray diffraction stick pattern
Compound: La3BiRu
Radiation: a wavelength of 1.5418 Å
Structure: a DFT-relaxed cell (PBE, Alexandria)
No peak broadening, texture or thermal motion is included.

The 10 most intense peaks (2θ from 10° to 90°), in order of rising 2θ:
index	Position (°2θ)	intensity
1 1 2	26.96	20
1 2 1	28.49	77
1 0 -2	28.92	83
0 2 3	32.60	100
2 0 0	34.56	52
1 3 1	38.95	17
0 4 2	46.21	16
2 2 3	48.24	67
1 4 0	55.43	16
1 2 -3	56.19	18

```
data_La3BiRu
_cell_length_a 5.1913
_cell_length_b 7.8587
_cell_length_c 8.6246
_cell_angle_alpha 62.95
_cell_angle_beta 89.91
_cell_angle_gamma 90.00
_space_group_name_H-M_alt 'P 1'
_space_group_IT_number 1
_space_group_name_Hall 'P 1'
loop_
_atom_site_label
_atom_site_type_symbol
_atom_site_fract_x
_atom_site_fract_y
_atom_site_fract_z
_atom_site_occupancy
La1 La 0.0000 0.0000 0.0000 1
La2 La 0.0001 0.1901 0.4936 1
La3 La 0.0001 0.3956 0.9995 1
La4 La 0.9999 0.6838 0.5060 1
La5 La 0.4992 0.8387 0.7424 1
La6 La 0.5008 0.5811 0.2572 1
Bi1 Bi 0.5003 0.0461 0.2841 1
Bi2 Bi 0.4997 0.3303 0.7153 1
Ru1 Ru 0.0012 0.5881 0.2046 1
Ru2 Ru 0.9988 0.7926 0.7949 1
```

Calculated X-ray diffraction stick pattern
Compound: La2BiS4
Radiation: a wavelength of 1.5418 Å
Structure: a DFT-relaxed cell (PBE, Alexandria)
No peak broadening, texture or thermal motion is included.

The 10 most intense peaks (2θ from 10° to 90°), in order of rising 2θ:
index	Position (°2θ)	intensity
2 0 -1	14.31	32
1 1 -1	23.34	100
2 0 -2	24.18	81
4 0 -1	25.23	33
3 1 0	29.46	50
3 1 1	36.88	56
1 1 2	37.74	33
5 1 -1	37.87	35
3 1 -3	42.07	45
2 2 -2	47.72	28

```
data_La2BiS4
_cell_length_a 14.1190
_cell_length_b 4.4554
_cell_length_c 7.3633
_cell_angle_alpha 90.00
_cell_angle_beta 118.44
_cell_angle_gamma 90.00
_space_group_name_H-M_alt 'C 1 2/m 1'
_space_group_IT_number 12
_space_group_name_Hall '-C 2y'
loop_
_atom_site_label
_atom_site_type_symbol
_atom_site_fract_x
_atom_site_fract_y
_atom_site_fract_z
_atom_site_occupancy
La1 La 0.2163 0.0000 0.2105 1
Bi1 Bi 0.0000 0.5000 0.5000 1
S1 S 0.1237 0.5000 0.9352 1
S2 S 0.1418 0.0000 0.5129 1
```

Calculated X-ray diffraction stick pattern
Compound: La2BiS5
Radiation: a wavelength of 1.5418 Å
Structure: a DFT-relaxed cell (PBE, Alexandria)
No peak broadening, texture or thermal motion is included.

The 10 most intense peaks (2θ from 10° to 90°), in order of rising 2θ:
index	Position (°2θ)	intensity
0 2 0	12.34	59
1 1 0	17.37	97
0 2 3	23.33	100
1 3 0	24.76	67
1 1 3	26.40	60
0 4 3	31.91	54
2 0 0	32.79	46
2 2 3	40.64	47
1 5 3	40.79	70
2 4 3	46.41	37

```
data_La2BiS5
_cell_length_a 5.4621
_cell_length_b 14.3471
_cell_length_c 13.5008
_cell_angle_alpha 90.00
_cell_angle_beta 90.00
_cell_angle_gamma 90.00
_space_group_name_H-M_alt 'C m c m'
_space_group_IT_number 63
_space_group_name_Hall '-C 2c 2'
loop_
_atom_site_label
_atom_site_type_symbol
_atom_site_fract_x
_atom_site_fract_y
_atom_site_fract_z
_atom_site_occupancy
La1 La 0.0000 0.1526 0.0697 1
Bi1 Bi 0.0000 0.1670 0.7500 1
S1 S 0.0000 0.0423 0.6051 1
S2 S 0.0000 0.2734 0.2500 1
S3 S 0.0000 0.2923 0.5868 1
```

Calculated X-ray diffraction stick pattern
Compound: La4Bi2SeS
Radiation: a wavelength of 1.5418 Å
Structure: a DFT-relaxed cell (PBE, Alexandria)
No peak broadening, texture or thermal motion is included.

The 10 most intense peaks (2θ from 10° to 90°), in order of rising 2θ:
index	Position (°2θ)	intensity
0 1 3	23.30	15
2 2 0	28.19	100
2 1 3	30.77	12
2 2 4	40.27	63
4 0 0	40.36	13
0 4 4	49.83	13
4 0 4	49.95	13
4 4 0	58.28	12
2 2 8	65.94	16
6 2 4	73.31	12

```
data_La4Bi2SeS
_cell_length_a 8.9399
_cell_length_b 8.9703
_cell_length_c 12.6647
_cell_angle_alpha 90.00
_cell_angle_beta 90.00
_cell_angle_gamma 90.00
_space_group_name_H-M_alt 'I m m a'
_space_group_IT_number 74
_space_group_name_Hall '-I 2b 2'
loop_
_atom_site_label
_atom_site_type_symbol
_atom_site_fract_x
_atom_site_fract_y
_atom_site_fract_z
_atom_site_occupancy
La1 La 0.0000 0.0200 0.2436 1
La2 La 0.2369 0.2500 0.0103 1
Bi1 Bi 0.0000 0.0000 0.5000 1
Bi2 Bi 0.2500 0.2500 0.7500 1
Se1 Se 0.0000 0.0000 0.0000 1
S1 S 0.2500 0.2500 0.2500 1
```